Theoretical powder diffractogram of Er2Pt2O7 for Cu Kα X-rays, from a DFT-relaxed cell (GGA-PBE, Alexandria).
Intensities are scaled so that the largest is 100.

Main lines, in order of rising 2θ (2θ = 10–90°):
d [Å]	2theta	I (rel.)
5.906	15.0	1
3.084	28.9	1
2.953	30.3	100
2.557	35.1	37
1.808	50.5	46
1.542	60.0	44
1.477	62.9	10
1.279	74.2	7
1.173	82.1	18
1.144	84.8	15

Structural model:
Cell lengths 7.233, 7.233, 7.233 Å; angles 60.00, 60.00, 60.00 degrees
Sites, in units of the cell vectors:
Er 0.000 0.000 0.000
Er 0.000 0.000 0.500
Er 0.000 0.500 0.000
Er 0.500 0.000 0.000
Pt 0.000 0.500 0.500
Pt 0.500 0.000 0.500
Pt 0.500 0.500 0.000
Pt 0.500 0.500 0.500
O 0.125 0.125 0.125
O 0.157 0.157 0.593
O 0.157 0.593 0.157
O 0.157 0.593 0.593
O 0.407 0.407 0.843
O 0.407 0.843 0.407
O 0.407 0.843 0.843
O 0.593 0.157 0.157
O 0.593 0.157 0.593
O 0.593 0.593 0.157
O 0.843 0.407 0.407
O 0.843 0.407 0.843
O 0.843 0.843 0.407
O 0.875 0.875 0.875


Theoretical powder diffractogram of Rb2ErPtO6 for Cu Kα X-rays, from a DFT-relaxed cell (GGA-PBE, Alexandria).
Intensities are scaled so that the largest is 100.

Main lines, in order of rising 2θ (2θ = 10–90°):
d [Å]	2theta	I (rel.)
4.208	21.1	23
2.976	30.0	100
2.104	43.0	29
1.882	48.4	10
1.718	53.3	41
1.488	62.4	18
1.403	66.7	5
1.331	70.8	18
1.215	78.8	6
1.125	86.5	22

Structural model:
Cell lengths 5.951, 5.951, 5.951 Å; angles 60.00, 60.00, 60.00 degrees
Sites, in units of the cell vectors:
Rb 0.250 0.250 0.250
Rb 0.750 0.750 0.750
Er 0.000 0.000 0.000
Pt 0.500 0.500 0.500
O 0.266 0.266 0.734
O 0.266 0.734 0.266
O 0.266 0.734 0.734
O 0.734 0.266 0.266
O 0.734 0.266 0.734
O 0.734 0.734 0.266


Theoretical powder diffractogram of SrEr2PtO5 for Cu Kα X-rays, from a DFT-relaxed cell (GGA-PBE, Alexandria).
Intensities are scaled so that the largest is 100.

Main lines, in order of rising 2θ (2θ = 10–90°):
d [Å]	2theta	I (rel.)
4.571	19.4	26
2.938	30.4	42
2.891	30.9	18
2.832	31.6	100
2.594	34.6	42
2.286	39.4	22
2.061	43.9	32
1.931	47.1	24
1.804	50.6	21
1.675	54.8	21

Structural model:
Cell lengths 6.465, 6.465, 5.876 Å; angles 90.00, 90.00, 90.00 degrees
Sites, in units of the cell vectors:
Sr 0.000 0.000 0.000
Sr 0.500 0.500 0.000
Er 0.174 0.326 0.500
Er 0.326 0.826 0.500
Er 0.674 0.174 0.500
Er 0.826 0.674 0.500
Pt 0.000 0.500 0.000
Pt 0.500 0.000 0.000
O 0.000 0.000 0.500
O 0.143 0.643 0.261
O 0.143 0.643 0.739
O 0.357 0.143 0.261
O 0.357 0.143 0.739
O 0.500 0.500 0.500
O 0.643 0.857 0.261
O 0.643 0.857 0.739
O 0.857 0.357 0.261
O 0.857 0.357 0.739


Theoretical powder diffractogram of ErPu4O10 for Cu Kα X-rays, from a DFT-relaxed cell (GGA-PBE, Alexandria).
Intensities are scaled so that the largest is 100.

Main lines, in order of rising 2θ (2θ = 10–90°):
d [Å]	2theta	I (rel.)
3.092	28.9	100
2.677	33.5	37
1.893	48.1	49
1.615	57.0	46
1.546	59.8	10
1.339	70.3	8
1.229	77.7	19
1.198	80.1	5
1.197	80.2	9
1.093	89.7	17

Structural model:
Cell lengths 13.644, 13.644, 13.644 Å; angles 164.04, 164.04, 22.64 degrees
Sites, in units of the cell vectors:
Er 0.000 0.000 0.000
Pu 0.199 0.199 0.000
Pu 0.402 0.402 0.000
Pu 0.598 0.598 0.000
Pu 0.801 0.801 0.000
O 0.051 0.551 0.500
O 0.150 0.650 0.500
O 0.250 0.750 0.500
O 0.350 0.850 0.500
O 0.449 0.949 0.500
O 0.551 0.051 0.500
O 0.650 0.150 0.500
O 0.750 0.250 0.500
O 0.850 0.350 0.500
O 0.949 0.449 0.500